This entry pairs a crystal structure of Mn2Co21B6 with its computed XRD peak list. Radiation: Cu Kα (λ = 1.5418 Å). Structure: a PBE-relaxed structure.
No peak broadening, texture or thermal motion is included.

The 10 most intense peaks (2θ = 10–80°), in order of rising 2θ:
d (Å), Rel. int.
2.597, 7
2.323, 19
2.120, 28
1.999, 100
1.836, 21
1.756, 26
1.731, 15
1.566, 6
1.224, 19
1.199, 13

```
Mn2Co21B6
1.0
0.0000 5.1935 5.1935
5.1935 0.0000 5.1935
5.1935 5.1935 0.0000
Mn Co B
2 21 6
direct
0.2500 0.2500 0.2500
0.7500 0.7500 0.7500
0.0000 0.0000 0.0000
0.0000 0.0000 0.3379
0.0000 0.0000 0.6620
0.0000 0.3379 0.0000
0.0000 0.3380 0.6620
0.0000 0.6620 0.0000
0.0000 0.6620 0.3380
0.1374 0.6209 0.6209
0.3379 0.0000 0.0000
0.3380 0.0000 0.6620
0.3379 0.6620 0.0000
0.3791 0.3791 0.3791
0.3791 0.3791 0.8626
0.3791 0.8626 0.3791
0.6209 0.1374 0.6209
0.6209 0.6209 0.1374
0.6209 0.6209 0.6209
0.6620 0.0000 0.0000
0.6620 0.0000 0.3380
0.6620 0.3379 0.0000
0.8626 0.3791 0.3791
0.2765 0.2765 0.7235
0.2765 0.7235 0.2765
0.2765 0.7235 0.7235
0.7235 0.2765 0.2765
0.7235 0.2765 0.7235
0.7235 0.7235 0.2765
```

This entry pairs a crystal structure of Rb2LiTaI6 with its computed XRD peak list. Radiation: Cu Kα (λ = 1.5418 Å). Structure: a PBE-relaxed structure.
No peak broadening, texture or thermal motion is included.

The 10 most intense peaks (2θ = 10–80°), in order of rising 2θ:
d (Å), Rel. int.
6.745, 33
5.841, 30
3.372, 88
2.921, 100
2.612, 16
2.065, 73
1.761, 39
1.686, 26
1.340, 15
1.306, 32

```
Rb2LiTaI6
1.0
0.0000 5.8411 5.8411
5.8411 0.0000 5.8411
5.8411 5.8411 0.0000
Rb Li Ta I
2 1 1 6
direct
0.2500 0.2500 0.2500
0.7500 0.7500 0.7500
0.0000 0.0000 0.0000
0.5000 0.5000 0.5000
0.2563 0.2563 0.7437
0.2563 0.7437 0.2563
0.2563 0.7437 0.7437
0.7437 0.2563 0.2563
0.7437 0.2563 0.7437
0.7437 0.7437 0.2563
```

This entry pairs a crystal structure of CdAg2Sn3S8 with its computed XRD peak list. Radiation: Cu Kα (λ = 1.5418 Å). Structure: a PBE-relaxed structure.
No peak broadening, texture or thermal motion is included.

The 10 most intense peaks (2θ = 10–80°), in order of rising 2θ:
d (Å), Rel. int.
3.881, 18
3.844, 17
3.315, 36
3.287, 100
2.731, 36
2.102, 26
2.096, 19
1.941, 43
1.922, 43
1.417, 14

```
CdAg2Sn3S8
1.0
3.8440 2.2193 6.3697
-3.8440 2.2193 6.3697
0.0000 -4.4386 6.3697
Cd Ag Sn S
1 2 3 8
direct
0.0000 0.0000 0.0000
0.3805 0.3805 0.3805
0.6195 0.6195 0.6195
0.0000 0.0000 0.5000
0.0000 0.5000 0.0000
0.5000 0.0000 0.0000
0.2187 0.7542 0.7542
0.2443 0.2443 0.2443
0.2458 0.2458 0.7813
0.2458 0.7813 0.2458
0.7542 0.2187 0.7542
0.7542 0.7542 0.2187
0.7557 0.7557 0.7557
0.7813 0.2458 0.2458
```

This entry pairs a crystal structure of Rb3Os with its computed XRD peak list. Radiation: Cu Kα (λ = 1.5418 Å). Structure: a PBE-relaxed structure.
No peak broadening, texture or thermal motion is included.

The 10 most intense peaks (2θ = 10–80°), in order of rising 2θ:
d (Å), Rel. int.
5.071, 15
3.155, 100
3.014, 44
2.345, 11
2.131, 17
1.851, 21
1.766, 37
1.577, 13
1.468, 10
1.209, 11

```
Rb3Os
1.0
-3.0141 3.0141 4.6906
3.0141 -3.0141 4.6906
3.0141 3.0141 -4.6906
Rb Os
3 1
direct
0.0000 0.0000 0.0000
0.2500 0.7500 0.5000
0.7500 0.2500 0.5000
0.5000 0.5000 0.0000
```

This entry pairs a crystal structure of Mg6CdCO8 with its computed XRD peak list. Radiation: Cu Kα (λ = 1.5418 Å). Structure: a PBE-relaxed structure.
No peak broadening, texture or thermal motion is included.

The 10 most intense peaks (2θ = 10–80°), in order of rising 2θ:
d (Å), Rel. int.
8.673, 44
4.329, 52
3.871, 58
3.062, 45
2.500, 41
2.168, 50
2.163, 100
1.936, 23
1.531, 86
1.250, 26

```
Mg6CdCO8
1.0
4.3264 0.0000 0.0000
0.0000 4.3264 0.0000
0.0000 0.0000 8.6731
Mg Cd C O
6 1 1 8
direct
0.0000 0.0000 0.0000
0.0000 0.5000 0.2489
0.0000 0.5000 0.7511
0.5000 0.0000 0.2489
0.5000 0.0000 0.7511
0.5000 0.5000 0.0000
0.0000 0.0000 0.5000
0.5000 0.5000 0.5000
0.0000 0.0000 0.2346
0.0000 0.0000 0.7654
0.0000 0.5000 0.0000
0.0000 0.5000 0.5000
0.5000 0.0000 0.0000
0.5000 0.0000 0.5000
0.5000 0.5000 0.2508
0.5000 0.5000 0.7492
```

This entry pairs a crystal structure of CsCr2S4 with its computed XRD peak list. Radiation: Cu Kα (λ = 1.5418 Å). Structure: a PBE-relaxed structure.
No peak broadening, texture or thermal motion is included.

The 10 most intense peaks (2θ = 10–80°), in order of rising 2θ:
d (Å), Rel. int.
4.467, 34
3.470, 35
3.441, 97
3.322, 37
3.203, 35
3.012, 43
2.719, 100
2.628, 65
2.013, 33
1.798, 41

```
CsCr2S4
1.0
12.0691 0.0000 0.0000
0.0000 3.5949 0.0000
0.0000 0.0000 13.2879
Cs Cr S
4 8 16
direct
0.2432 0.2500 0.1626
0.2568 0.7500 0.6626
0.7432 0.2500 0.3374
0.7568 0.7500 0.8374
0.0692 0.2500 0.8960
0.0720 0.2500 0.3989
0.4280 0.7500 0.8989
0.4308 0.7500 0.3960
0.5692 0.2500 0.6040
0.5720 0.2500 0.1011
0.9280 0.7500 0.6011
0.9308 0.7500 0.1040
0.0209 0.7500 0.7852
0.0545 0.2500 0.5747
0.0990 0.7500 0.0089
0.2039 0.7500 0.3773
0.2961 0.2500 0.8773
0.4010 0.2500 0.5089
0.4455 0.7500 0.0747
0.4791 0.2500 0.2852
0.5209 0.7500 0.7148
0.5545 0.2500 0.9253
0.5990 0.7500 0.4911
0.7039 0.7500 0.1227
0.7961 0.2500 0.6227
0.9010 0.2500 0.9911
0.9455 0.7500 0.4253
0.9791 0.2500 0.2148
```

This entry pairs a crystal structure of La5Ge3 with its computed XRD peak list. Radiation: Cu Kα (λ = 1.5418 Å). Structure: a PBE-relaxed structure.
No peak broadening, texture or thermal motion is included.

The 10 most intense peaks (2θ = 10–80°), in order of rising 2θ:
d (Å), Rel. int.
3.154, 30
2.972, 37
2.743, 97
2.728, 100
2.621, 50
1.895, 26
1.816, 30
1.745, 16
1.707, 21
1.439, 15

```
La5Ge3
1.0
9.0786 0.0000 0.0000
-4.5393 7.8623 0.0000
0.0000 0.0000 6.8856
La Ge
10 6
direct
0.0000 0.2487 0.2500
0.0000 0.7513 0.7500
0.2487 0.0000 0.2500
0.2487 0.2487 0.7500
0.3333 0.6667 0.0000
0.3333 0.6667 0.5000
0.6667 0.3333 0.0000
0.6667 0.3333 0.5000
0.7513 0.0000 0.7500
0.7513 0.7513 0.2500
0.0000 0.3906 0.7500
0.0000 0.6094 0.2500
0.3906 0.0000 0.7500
0.3906 0.3906 0.2500
0.6094 0.0000 0.2500
0.6094 0.6094 0.7500
```

This entry pairs a crystal structure of AlI3N5 with its computed XRD peak list. Radiation: Cu Kα (λ = 1.5418 Å). Structure: a PBE-relaxed structure.
No peak broadening, texture or thermal motion is included.

The 10 most intense peaks (2θ = 10–80°), in order of rising 2θ:
d (Å), Rel. int.
4.652, 34
2.951, 93
2.861, 100
2.746, 75
2.188, 20
1.997, 25
1.891, 19
1.711, 38
1.638, 37
1.592, 25

```
AlI3N5
1.0
3.7806 -4.3768 0.0000
3.7806 4.3768 0.0000
0.0000 0.0000 7.9896
Al I N
2 6 10
direct
0.2303 0.7697 0.7500
0.7697 0.2303 0.2500
0.2168 0.7832 0.2500
0.2700 0.2700 0.0000
0.2700 0.2700 0.5000
0.7300 0.7300 0.0000
0.7300 0.7300 0.5000
0.7832 0.2168 0.7500
0.0120 0.9880 0.7500
0.1437 0.4340 0.7500
0.2120 0.7880 0.5069
0.2120 0.7880 0.9931
0.4340 0.1437 0.2500
0.5660 0.8563 0.7500
0.7880 0.2120 0.0069
0.7880 0.2120 0.4931
0.8563 0.5660 0.2500
0.9880 0.0120 0.2500
```

This entry pairs a crystal structure of Pr3Br with its computed XRD peak list. Radiation: Cu Kα (λ = 1.5418 Å). Structure: a PBE-relaxed structure.
No peak broadening, texture or thermal motion is included.

The 10 most intense peaks (2θ = 10–80°), in order of rising 2θ:
d (Å), Rel. int.
5.013, 4
3.545, 3
2.894, 100
2.507, 50
2.242, 2
2.047, 2
1.772, 35
1.512, 42
1.447, 12
1.253, 6

```
Pr3Br
1.0
5.0132 0.0000 0.0000
0.0000 5.0132 0.0000
0.0000 0.0000 5.0132
Pr Br
3 1
direct
0.0000 0.0000 0.5000
0.0000 0.5000 0.0000
0.5000 0.0000 0.0000
0.5000 0.5000 0.5000
```